# 1
For MgBeCu2, DFT lattice parameters and positions (PBE) gives the theoretical X-ray diffraction stick pattern in this record (Cu Kα, 1.54184 Å).
Neutral-atom scattering factors, no anomalous dispersion.

abc: 5.830 5.830 5.830
angles: 90.00 90.00 90.00
Fractional positions:
1 Mg 0.000 0.000 0.000
2 Mg 0.000 0.000 0.500
3 Mg 0.000 0.500 0.000
4 Mg 0.500 0.000 0.000
5 Be 0.000 0.500 0.500
6 Be 0.500 0.000 0.500
7 Be 0.500 0.500 0.000
8 Be 0.500 0.500 0.500
9 Cu 0.276 0.276 0.276
10 Cu 0.276 0.276 0.724
11 Cu 0.276 0.724 0.276
12 Cu 0.276 0.724 0.724
13 Cu 0.724 0.276 0.276
14 Cu 0.724 0.276 0.724
15 Cu 0.724 0.724 0.276
16 Cu 0.724 0.724 0.724

Most intense lines, 10° ≤ 2θ ≤ 90°, in order of rising 2θ:
2θ 15.20, I 5
2θ 30.67, I 56
2θ 34.40, I 16
2θ 43.93, I 100
2θ 46.74, I 10
2θ 54.52, I 10
2θ 56.95, I 9
2θ 63.87, I 13
2θ 66.08, I 10
2θ 72.51, I 9
2θ 80.75, I 21
2θ 82.78, I 6

# 2
For Mg2BeCu4Ni, DFT lattice parameters and positions (PBE) gives the theoretical X-ray diffraction stick pattern in this record (Cu Kα, 1.54184 Å).
Neutral-atom scattering factors, no anomalous dispersion.

abc: 4.092 4.092 5.931
angles: 90.00 90.00 90.00
Fractional positions:
1 Mg 0.000 0.000 0.000
2 Mg 0.500 0.500 0.500
3 Be 0.000 0.000 0.500
4 Cu 0.000 0.500 0.259
5 Cu 0.000 0.500 0.741
6 Cu 0.500 0.000 0.259
7 Cu 0.500 0.000 0.741
8 Ni 0.500 0.500 0.000

Most intense lines, 10° ≤ 2θ ≤ 90°, in order of rising 2θ:
2θ 14.94, I 4
2θ 21.72, I 7
2θ 30.14, I 10
2θ 30.90, I 20
2θ 34.49, I 7
2θ 43.71, I 100
2θ 44.27, I 49
2θ 54.49, I 7
2θ 62.66, I 8
2θ 64.40, I 15
2θ 79.90, I 14
2θ 81.08, I 28

# 3
For BeCu4NiSn2, DFT lattice parameters and positions (PBE) gives the theoretical X-ray diffraction stick pattern in this record (Cu Kα, 1.54184 Å).
Neutral-atom scattering factors, no anomalous dispersion.

abc: 4.273 4.273 6.041
angles: 90.00 90.00 90.00
Fractional positions:
1 Be 0.000 0.000 0.000
2 Cu 0.000 0.500 0.241
3 Cu 0.000 0.500 0.759
4 Cu 0.500 0.000 0.241
5 Cu 0.500 0.000 0.759
6 Ni 0.500 0.500 0.500
7 Sn 0.000 0.000 0.500
8 Sn 0.500 0.500 0.000

Most intense lines, 10° ≤ 2θ ≤ 90°, in order of rising 2θ:
2θ 14.66, I 1
2θ 20.79, I 2
2θ 25.53, I 21
2θ 33.15, I 2
2θ 36.43, I 1
2θ 42.31, I 100
2θ 45.01, I 1
2θ 50.07, I 11
2θ 61.37, I 16
2θ 67.58, I 5
2θ 77.37, I 32
2θ 83.05, I 4

# 4
For BeCu2Pd, DFT lattice parameters and positions (PBE) gives the theoretical X-ray diffraction stick pattern in this record (Cu Kα, 1.54184 Å).
Neutral-atom scattering factors, no anomalous dispersion.

abc: 4.051 4.051 4.051
angles: 60.00 60.00 60.00
Fractional positions:
1 Be 0.000 0.000 0.000
2 Cu 0.250 0.250 0.250
3 Cu 0.500 0.500 0.500
4 Pd 0.750 0.750 0.750

Most intense lines, 10° ≤ 2θ ≤ 90°, in order of rising 2θ:
2θ 26.96, I 23
2θ 31.22, I 22
2θ 44.74, I 100
2θ 53.01, I 10
2θ 55.57, I 6
2θ 65.13, I 15
2θ 71.83, I 4
2θ 74.00, I 7
2θ 82.48, I 31
2θ 88.73, I 3

# 5
For TaBeCuPd, DFT lattice parameters and positions (PBE) gives the theoretical X-ray diffraction stick pattern in this record (Cu Kα, 1.54184 Å).
Neutral-atom scattering factors, no anomalous dispersion.

abc: 4.213 4.213 4.213
angles: 60.00 60.00 60.00
Fractional positions:
1 Ta 0.000 0.000 0.000
2 Be 0.750 0.750 0.750
3 Cu 0.250 0.250 0.250
4 Pd 0.500 0.500 0.500

Most intense lines, 10° ≤ 2θ ≤ 90°, in order of rising 2θ:
2θ 25.90, I 17
2θ 29.99, I 45
2θ 42.93, I 100
2θ 50.82, I 8
2θ 53.25, I 12
2θ 62.33, I 16
2θ 68.66, I 3
2θ 70.71, I 16
2θ 78.67, I 33
2θ 84.49, I 3

# 6
For TaBeCuSi, DFT lattice parameters and positions (PBE) gives the theoretical X-ray diffraction stick pattern in this record (Cu Kα, 1.54184 Å).
Neutral-atom scattering factors, no anomalous dispersion.

abc: 4.192 4.192 4.192
angles: 60.00 60.00 60.00
Fractional positions:
1 Ta 0.000 0.000 0.000
2 Be 0.750 0.750 0.750
3 Cu 0.500 0.500 0.500
4 Si 0.250 0.250 0.250

Most intense lines, 10° ≤ 2θ ≤ 90°, in order of rising 2θ:
2θ 26.03, I 39
2θ 30.15, I 75
2θ 43.16, I 100
2θ 51.10, I 20
2θ 53.54, I 20
2θ 62.68, I 16
2θ 69.05, I 9
2θ 71.11, I 26
2θ 79.14, I 33
2θ 85.01, I 7

# 7
For BeZnCuSi, DFT lattice parameters and positions (PBE) gives the theoretical X-ray diffraction stick pattern in this record (Cu Kα, 1.54184 Å).
Neutral-atom scattering factors, no anomalous dispersion.

abc: 4.131 4.131 4.131
angles: 60.00 60.00 60.00
Fractional positions:
1 Be 0.000 0.000 0.000
2 Zn 0.750 0.750 0.750
3 Cu 0.500 0.500 0.500
4 Si 0.250 0.250 0.250

Most intense lines, 10° ≤ 2θ ≤ 90°, in order of rising 2θ:
2θ 26.42, I 50
2θ 30.60, I 3
2θ 43.83, I 100
2θ 51.90, I 23
2θ 54.40, I 1
2θ 63.71, I 15
2θ 70.22, I 8
2θ 72.33, I 1
2θ 80.54, I 30
2θ 86.57, I 6

# 8
For Ta6Be15Cu8, DFT lattice parameters and positions (PBE) gives the theoretical X-ray diffraction stick pattern in this record (Cu Kα, 1.54184 Å).
Neutral-atom scattering factors, no anomalous dispersion.

abc: 7.632 7.632 7.632
angles: 60.00 60.00 60.00
Fractional positions:
1 Ta 0.192 0.192 0.808
2 Ta 0.192 0.808 0.192
3 Ta 0.192 0.808 0.808
4 Ta 0.808 0.192 0.192
5 Ta 0.808 0.192 0.808
6 Ta 0.808 0.808 0.192
7 Be 0.000 0.000 0.500
8 Be 0.000 0.500 0.000
9 Be 0.000 0.500 0.500
10 Be 0.173 0.173 0.173
11 Be 0.173 0.173 0.481
12 Be 0.173 0.481 0.173
13 Be 0.481 0.173 0.173
14 Be 0.500 0.000 0.000
15 Be 0.500 0.000 0.500
16 Be 0.500 0.500 0.000
17 Be 0.500 0.500 0.500
18 Be 0.519 0.827 0.827
19 Be 0.827 0.519 0.827
20 Be 0.827 0.827 0.519
21 Be 0.827 0.827 0.827
22 Cu 0.131 0.623 0.623
23 Cu 0.377 0.377 0.377
24 Cu 0.377 0.377 0.869
25 Cu 0.377 0.869 0.377
26 Cu 0.623 0.131 0.623
27 Cu 0.623 0.623 0.131
28 Cu 0.623 0.623 0.623
29 Cu 0.869 0.377 0.377

Most intense lines, 10° ≤ 2θ ≤ 90°, in order of rising 2θ:
2θ 14.21, I 18
2θ 16.43, I 57
2θ 28.65, I 67
2θ 36.28, I 85
2θ 40.96, I 34
2θ 43.57, I 100
2θ 47.66, I 45
2θ 50.75, I 18
2θ 61.34, I 16
2θ 71.56, I 25
2θ 74.61, I 26
2θ 76.42, I 20